# AcInTe4
Calculated X-ray diffraction stick pattern, Cu Kα (λ = 1.5418 Å). Input: a crystal structure in Alexandria, relaxed with GGA-PBE.

Structural model:
Unit cell a=6.525 b=10.222 c=7.801 alpha=90.00 beta=109.99 gamma=90.00
Space group P2_1/m (No. 11)
One atom of each set of equivalent atoms:
Ac  0.126  0.250  0.250 [2 per cell]
In  0.099  0.750  0.304 [2 per cell]
Te  0.221  0.550  0.090 [4 per cell]
Te  0.332  0.250  0.707 [2 per cell]
Te  0.338  0.750  0.670 [2 per cell]

The 8 most intense peaks (2θ from 10° to 90°), most intense first:
d (Å)	two_theta	Rel. int.	index
2.979	30.0	100	0 2 2
2.743	32.6	90	2 2 -1
5.111	17.4	68	0 2 0
4.192	21.2	53	0 2 1
2.537	35.4	43	2 0 1
2.555	35.1	35	0 4 0
3.665	24.3	30	0 0 2
5.774	15.3	26	1 0 -1